(1)
Structure and simulated XRD peak list of TmGa2Ag8 (the PBE geometry in Alexandria; Cu Ka).

Main lines, low angle first (15° ≤ 2θ ≤ 90°):
Position (°2θ), d/Å, I_rel
37.07, 2.425, 98.6
37.27, 2.412, 100.0
41.55, 2.173, 36.3
43.59, 2.076, 30.2
44.38, 2.041, 30.0
62.07, 1.495, 11.7
62.42, 1.488, 20.5
63.97, 1.455, 19.1
72.74, 1.300, 12.1
73.12, 1.294, 12.6

Atomic structure:
Lattice parameters (Å, degrees): 15.134 4.082 6.859 90.00 106.98 90.00
Space group C2/m (No. 12)
Inequivalent atoms, fractional coordinates:
Tm: 0.000 0.000 0.000 [2 per cell]
Ga: 0.227 0.500 0.645 [4 per cell]
Ag: 0.046 0.500 0.722 [4 per cell]
Ag: 0.096 0.000 0.465 [4 per cell]
Ag: 0.144 0.500 0.203 [4 per cell]
Ag: 0.183 0.000 0.911 [4 per cell]

(2)
Structure and simulated XRD peak list of Tm5Ga2Ag2 (the PBE geometry in Alexandria; Cu Ka).

Main lines, low angle first (15° ≤ 2θ ≤ 90°):
Position (°2θ), d/Å, I_rel
27.80, 3.209, 23.4
31.97, 2.800, 39.3
32.64, 2.743, 100.0
33.56, 2.670, 33.6
34.44, 2.604, 70.3
34.90, 2.571, 33.0
35.91, 2.501, 52.1
40.28, 2.239, 36.4
46.39, 1.957, 22.1
50.01, 1.824, 19.1

Atomic structure:
Lattice parameters (Å, degrees): 15.424 8.143 7.072 90.00 90.00 90.00
Space group Cmce (No. 64)
Inequivalent atoms, fractional coordinates:
Tm: 0.000 0.000 0.000 [4 per cell]
Tm: 0.144 0.182 0.345 [16 per cell]
Ga: 0.204 0.000 0.000 [8 per cell]
Ag: 0.000 0.134 0.624 [8 per cell]

(3)
Structure and simulated XRD peak list of Tm2Ga3Ag2 (the PBE geometry in Alexandria; Cu Ka).

Main lines, low angle first (15° ≤ 2θ ≤ 90°):
Position (°2θ), d/Å, I_rel
31.10, 2.876, 20.2
32.97, 2.717, 78.5
34.44, 2.604, 100.0
35.72, 2.514, 20.6
38.37, 2.346, 17.0
41.78, 2.162, 40.1
43.52, 2.080, 33.1
55.32, 1.661, 16.2
61.90, 1.499, 24.5
73.13, 1.294, 22.9

Atomic structure:
Lattice parameters (Å, degrees): 4.159 18.767 7.309 90.00 90.00 90.00
Space group Cmcm (No. 63)
Inequivalent atoms, fractional coordinates:
Tm: 0.000 0.055 0.250 [4 per cell]
Tm: 0.000 0.154 0.750 [4 per cell]
Ga: 0.000 0.228 0.250 [4 per cell]
Ga: 0.000 0.443 0.078 [8 per cell]
Ag: 0.000 0.314 0.554 [8 per cell]

(4)
Structure and simulated XRD peak list of Y2Ga3Ag2 (the PBE geometry in Alexandria; Cu Ka).

Main lines, low angle first (15° ≤ 2θ ≤ 90°):
Position (°2θ), d/Å, I_rel
30.91, 2.893, 16.5
32.65, 2.743, 85.2
34.10, 2.629, 100.0
35.38, 2.537, 30.9
38.13, 2.360, 27.5
40.36, 2.235, 18.8
41.55, 2.174, 52.7
42.80, 2.113, 45.9
45.16, 2.008, 17.3
61.18, 1.515, 31.1

Atomic structure:
Lattice parameters (Å, degrees): 4.225 18.883 7.346 90.00 90.00 90.00
Space group Cmcm (No. 63)
Inequivalent atoms, fractional coordinates:
Y: 0.000 0.055 0.250 [4 per cell]
Y: 0.000 0.154 0.750 [4 per cell]
Ga: 0.000 0.227 0.250 [4 per cell]
Ga: 0.000 0.443 0.078 [8 per cell]
Ag: 0.000 0.314 0.555 [8 per cell]

(5)
Structure and simulated XRD peak list of YGa4Ag8 (the PBE geometry in Alexandria; Cu Ka).

Main lines, low angle first (15° ≤ 2θ ≤ 90°):
Position (°2θ), d/Å, I_rel
33.13, 2.704, 46.1
33.54, 2.672, 27.1
38.28, 2.351, 50.2
38.40, 2.344, 100.0
38.76, 2.323, 45.6
43.01, 2.103, 29.0
43.12, 2.098, 35.0
43.45, 2.083, 62.7
69.30, 1.356, 24.2
69.53, 1.352, 23.6

Atomic structure:
Lattice parameters (Å, degrees): 9.404 9.404 5.344 90.00 90.00 90.00
Space group I4/mmm (No. 139)
Inequivalent atoms, fractional coordinates:
Y: 0.000 0.000 0.000 [2 per cell]
Ga: 0.250 0.250 0.250 [8 per cell]
Ag: 0.000 0.215 0.500 [8 per cell]
Ag: 0.000 0.347 0.000 [8 per cell]

(6)
Structure and simulated XRD peak list of Y2Ga6Ag3 (the PBE geometry in Alexandria; Cu Ka).

Main lines, low angle first (15° ≤ 2θ ≤ 90°):
Position (°2θ), d/Å, I_rel
33.01, 2.713, 100.0
33.66, 2.662, 29.3
35.39, 2.536, 29.1
36.51, 2.461, 19.9
42.59, 2.123, 62.5
46.00, 1.973, 21.9
46.36, 1.959, 18.6
46.94, 1.936, 27.3
53.12, 1.724, 19.0
67.83, 1.382, 13.5

Atomic structure:
Lattice parameters (Å, degrees): 9.930 11.838 3.871 90.00 90.00 90.00
Space group Cmmm (No. 65)
Inequivalent atoms, fractional coordinates:
Y: 0.000 0.198 0.000 [4 per cell]
Ga: 0.119 0.000 0.500 [4 per cell]
Ga: 0.192 0.340 0.500 [8 per cell]
Ag: 0.000 0.500 0.500 [2 per cell]
Ag: 0.207 0.500 0.000 [4 per cell]